No. 1
This entry pairs a crystal structure of Ac12La6Nd with its calculated X-ray powder pattern. Radiation: Cu Kα X-rays. Structure: a structure optimized by DFT (GGA-PBE).

Cell lengths 14.3683, 14.3683, 13.9754 Å; angles 90.00, 90.00, 120.00 degrees
Space group R-3m (No. 166, hexagonal axes)
One atom of each set of equivalent atoms:
Ac (0.0000, 0.2617, 0.0000) [18 per cell]
Ac (0.0572, 0.5286, 0.1145) [18 per cell]
La (0.0886, 0.1772, 0.7737) [18 per cell]
Nd (0.0000, 0.0000, 0.0000) [3 per cell]

The 10 most intense peaks (2θ = 10–90°), low angle first:
(1 1 0), 12.32°, intensity 14; (1 2 2), 22.79°, intensity 22; (1 0 4), 26.50°, intensity 23; (0 3 3), 28.83°, intensity 100; (4 0 1), 29.40°, intensity 86; (0 4 2), 31.47°, intensity 28; (3 2 1), 32.00°, intensity 21; (3 0 6), 44.63°, intensity 23; (4 3 4), 51.77°, intensity 20; (3 4 5), 55.70°, intensity 17

=====

No. 2
This entry pairs a crystal structure of AcLa6Nd12 with its calculated X-ray powder pattern. Radiation: Cu Kα X-rays. Structure: a structure optimized by DFT (GGA-PBE).

Cell lengths 13.8708, 13.8708, 12.7922 Å; angles 90.00, 90.00, 120.00 degrees
Space group R-3m (No. 166, hexagonal axes)
One atom of each set of equivalent atoms:
Ac (0.0000, 0.0000, 0.0000) [3 per cell]
La (0.0372, 0.5186, 0.6157) [18 per cell]
Nd (0.0000, 0.2569, 0.5000) [18 per cell]
Nd (0.0913, 0.1827, 0.2630) [18 per cell]

The 10 most intense peaks (2θ = 10–90°), low angle first:
(1 3 1), 27.67°, intensity 22; (1 0 4), 28.89°, intensity 35; (3 1 2), 30.25°, intensity 42; (4 0 1), 30.60°, intensity 100; (0 4 2), 32.95°, intensity 31; (2 2 3), 33.28°, intensity 41; (3 0 6), 48.37°, intensity 15; (4 4 0), 52.80°, intensity 19; (4 3 4), 54.62°, intensity 21; (0 8 1), 62.30°, intensity 14

=====

No. 3
This entry pairs a crystal structure of AcLa3Nd5 with its calculated X-ray powder pattern. Radiation: Cu Kα X-rays. Structure: a structure optimized by DFT (GGA-PBE).

Cell lengths 16.769, 7.077, 12.082 Å; angles 90.00, 109.13, 90.00 degrees
Space group C2/c (No. 15)
One atom of each set of equivalent atoms:
Ac (0.000, 0.232, 0.250) [4 per cell]
La (0.000, 0.000, 0.000) [4 per cell]
La (0.243, 0.388, 0.362) [8 per cell]
Nd (0.000, 0.310, 0.750) [4 per cell]
Nd (0.107, 0.499, 0.545) [8 per cell]
Nd (0.177, 0.112, 0.869) [8 per cell]

The 10 most intense peaks (2θ = 10–90°), low angle first:
(4 0 0), 22.45°, intensity 21; (3 1 2), 29.39°, intensity 39; (2 0 -4), 29.59°, intensity 93; (0 2 2), 29.72°, intensity 100; (2 2 -2), 29.90°, intensity 43; (5 1 -2), 30.18°, intensity 64; (5 1 0), 30.92°, intensity 26; (4 0 2), 31.43°, intensity 37; (4 2 0), 33.95°, intensity 24; (2 0 6), 53.04°, intensity 27